[1]
The following is a theoretical powder XRD pattern of Cs3SrI6. It was derived from DFT lattice parameters and positions (PBE), using Cu Kα.
Intensities are scaled so that the largest is 100.

Structural model:
a b c (Å): 9.705 9.705 9.705
angles (deg): 60.00 60.00 60.00
Sites, in units of the cell vectors:
Cs 0.000 0.000 0.000
Cs 0.250 0.250 0.250
Cs 0.750 0.750 0.750
Sr 0.500 0.500 0.500
I 0.265 0.265 0.735
I 0.265 0.735 0.265
I 0.265 0.735 0.735
I 0.735 0.265 0.265
I 0.735 0.265 0.735
I 0.735 0.735 0.265

Top 10 peaks for 2θ = 10–80°, in order of falling intensity:
2θ/deg	I_rel
25.97	100
22.44	80
37.05	75
43.75	36
60.32	33
45.80	26
66.78	23
18.28	18
12.90	16
58.64	14



[2]
The following is a theoretical powder XRD pattern of Tl13As2. It was derived from DFT lattice parameters and positions (PBE), using Cu Kα.
Intensities are scaled so that the largest is 100.

Structural model:
a b c (Å): 6.588 8.248 9.316
angles (deg): 65.14 86.60 84.62
Sites, in units of the cell vectors:
Tl 0.000 0.000 0.000
Tl 0.035 0.475 0.700
Tl 0.236 0.002 0.606
Tl 0.241 0.194 0.189
Tl 0.268 0.640 0.954
Tl 0.468 0.189 0.834
Tl 0.472 0.379 0.397
Tl 0.528 0.621 0.603
Tl 0.532 0.811 0.166
Tl 0.732 0.360 0.046
Tl 0.759 0.806 0.811
Tl 0.764 0.998 0.394
Tl 0.965 0.525 0.300
As 0.170 0.803 0.383
As 0.830 0.197 0.617

Top 10 peaks for 2θ = 10–80°, in order of falling intensity:
2θ/deg	I_rel
31.26	100
30.92	55
30.77	54
33.65	43
33.32	43
34.63	42
32.42	31
28.80	31
28.41	27
34.74	22